Starting from a PBE-relaxed structure, the powder diffractogram of PrNdIn4Pt2 was computed for Cu Kα X-rays.
No peak broadening, texture or thermal motion is included.

Atomic structure:
a = 7.6745 Å, b = 4.5347 Å, c = 10.6987 Å
α = 90.00°, β = 90.00°, γ = 90.00°
Space group Amm2 (No. 38)
Symmetry-distinct sites (fractional):
Pr  0.0000  0.0000  0.0000 x2
Nd  0.5000  0.0000  0.8508 x2
In  0.1998  0.0000  0.2873 x4
In  0.3014  0.0000  0.5640 x4
Pt  0.0000  0.0000  0.7123 x2
Pt  0.5000  0.0000  0.1387 x2

Main lines, most intense first (10 to 90 degrees two-theta):
34.0 deg, intensity 100, (1 1 3)
31.7 deg, intensity 98, (2 1 1)
39.8 deg, intensity 92, (0 2 0)
35.5 deg, intensity 41, (1 0 4)
41.4 deg, intensity 40, (3 1 1)
54.4 deg, intensity 25, (1 2 4)
64.3 deg, intensity 23, (0 1 7)
16.6 deg, intensity 21, (0 0 2)
63.6 deg, intensity 20, (4 2 0)
69.9 deg, intensity 19, (5 1 3)
41.1 deg, intensity 17, (2 0 4)
56.9 deg, intensity 17, (2 0 6)